Starting from a cell relaxed with PBE+U, the PXRD pattern of BaCoF4 was computed for a wavelength of 1.5418 Å.

Main lines, most intense first (2θ = 5–70°):
d (Å), Position (°2θ), I_rel
3.365, 26.49, 100
2.193, 41.16, 43
3.159, 28.25, 43
3.716, 23.95, 40
2.253, 40.02, 36
2.112, 42.81, 30
3.000, 29.78, 28
4.668, 19.01, 26
3.215, 27.75, 25
2.834, 31.57, 24
2.334, 38.57, 23
1.775, 51.49, 19

Structure:
```
data_BaCoF4
_space_group_name_H-M_alt 'P 1'
_space_group_IT_number 1
_cell_length_a 7.7255
_cell_length_b 7.7255
_cell_length_c 6.0005
_cell_angle_alpha 90.00
_cell_angle_beta 90.00
_cell_angle_gamma 148.26
loop_
_space_group_symop_operation_xyz
'x,y,z'
loop_
_atom_site_label
_atom_site_type_symbol
_atom_site_fract_x
_atom_site_fract_y
_atom_site_fract_z
Ba1 Ba 0.1477 0.8523 0.5000
Ba2 Ba 0.8523 0.1477 0.0000
Co1 Co 0.4139 0.5861 0.4532
Co2 Co 0.5861 0.4139 0.9532
F1 F 0.0767 0.9233 0.9379
F2 F 0.3004 0.6996 0.2625
F3 F 0.3382 0.6618 0.7311
F4 F 0.4696 0.5304 0.1309
F5 F 0.5304 0.4696 0.6309
F6 F 0.6618 0.3382 0.2311
F7 F 0.6996 0.3004 0.7625
F8 F 0.9233 0.0767 0.4379
```